Entry 1:
# Pr3S4
Calculated PXRD pattern, Cu Kα (λ = 1.5418 Å). Input: a crystal structure in Alexandria, relaxed with GGA-PBE.
No peak broadening, texture or thermal motion is included.

Most intense lines, 2θ from 10° to 80°, by angle:
2theta  Rel. int.
23.57  37
24.05  22
24.45  47
25.85  65
27.13  100
32.14  99
41.15  89
43.07  61
48.45  46
53.15  23

Crystal structure
```
Pr3S4
1.0
2.194 1.266 10.921
-2.194 1.266 10.921
0.000 -2.533 10.921
Pr S
3 4
direct
0.000 0.000 0.000 Pr
0.230 0.230 0.230 Pr
0.770 0.770 0.770 Pr
0.135 0.135 0.135 S
0.381 0.381 0.381 S
0.619 0.619 0.619 S
0.865 0.865 0.865 S
```

Entry 2:
# Pr3S5
Calculated PXRD pattern, Cu Kα (λ = 1.5418 Å). Input: a crystal structure in Alexandria, relaxed with GGA-PBE.
No peak broadening, texture or thermal motion is included.

Most intense lines, 2θ from 10° to 80°, by angle:
2theta  Rel. int.
20.49  39
25.75  100
31.16  29
35.28  28
35.88  76
37.58  49
44.69  23
48.24  37
58.59  16
76.53  23

Crystal structure
```
Pr3S5
1.0
8.670 0.000 0.000
-4.335 7.508 0.000
0.000 0.000 5.740
Pr S
6 10
direct
0.000 0.363 0.250 Pr
0.000 0.637 0.750 Pr
0.363 0.000 0.250 Pr
0.363 0.363 0.750 Pr
0.637 0.000 0.750 Pr
0.637 0.637 0.250 Pr
0.000 0.283 0.750 S
0.000 0.717 0.250 S
0.283 0.000 0.750 S
0.283 0.283 0.250 S
0.333 0.667 0.000 S
0.333 0.667 0.500 S
0.667 0.333 0.000 S
0.667 0.333 0.500 S
0.717 0.000 0.250 S
0.717 0.717 0.750 S
```